For MnSeO4, the GGA+U geometry in Alexandria gives the simulated powder diffractogram in this record (Cu Kα, 1.54184 Å).
Lines closer than 0.1° are merged.

Peak list (12 most intense, 5 to 70 degrees two-theta, sorted by position)
(hkl)	d (Å)	two_theta	I/Imax
2 1 0	3.921	22.68	40
1 1 1	3.795	23.44	100
2 2 0	2.841	31.48	38
1 2 1	2.792	32.05	27
3 0 1	2.666	33.61	43
0 0 2	2.549	35.21	16
1 3 1	2.102	43.03	13
2 2 2	1.897	47.94	22
0 4 0	1.785	51.16	11
5 2 1	1.580	58.43	18
1 2 3	1.514	61.20	9
3 4 1	1.483	62.62	12

Structure:
```
MnSeO4
1.0
9.384 0.000 0.000
0.000 7.141 0.000
0.000 0.000 5.098
Mn Se O
4 4 16
Direct
0.000 0.000 0.000
0.000 0.500 0.000
0.500 0.000 0.500
0.500 0.500 0.500
0.180 0.250 0.479
0.320 0.750 0.979
0.680 0.250 0.021
0.820 0.750 0.521
0.121 0.250 0.792
0.126 0.054 0.334
0.126 0.446 0.334
0.139 0.750 0.958
0.361 0.250 0.458
0.374 0.554 0.834
0.374 0.946 0.834
0.379 0.750 0.292
0.621 0.250 0.708
0.626 0.054 0.166
0.626 0.446 0.166
0.639 0.750 0.542
0.861 0.250 0.042
0.874 0.554 0.666
0.874 0.946 0.666
0.879 0.750 0.208
```